Simulated powder X-ray diffraction pattern of Mg2V2CoO8 for Cu Kα (λ = 1.5418 Å), from DFT lattice parameters and positions (PBE+U).

Cell and atoms:
Cell: 6.559 6.559 8.422 Å, 90.00 90.00 124.52°
Fractional coordinates of all 26 atoms:
Mg 0.116 0.384 0.250
Mg 0.384 0.116 0.750
Mg 0.616 0.884 0.250
Mg 0.884 0.616 0.750
V 0.121 0.879 0.380
V 0.379 0.621 0.880
V 0.621 0.379 0.120
V 0.879 0.121 0.620
Co 0.000 0.000 0.000
Co 0.500 0.500 0.500
O 0.002 0.998 0.754
O 0.113 0.347 0.500
O 0.153 0.387 0.000
O 0.250 0.750 0.274
O 0.250 0.750 0.774
O 0.347 0.113 0.500
O 0.387 0.153 0.000
O 0.498 0.502 0.254
O 0.502 0.498 0.746
O 0.613 0.847 0.000
O 0.653 0.887 0.500
O 0.750 0.250 0.226
O 0.750 0.250 0.726
O 0.847 0.613 0.000
O 0.887 0.653 0.500
O 0.998 0.002 0.246

Main lines, sorted by position (15 to 90 degrees two-theta):
d = 5.805 Å, I 35
d = 3.409 Å, I 22
d = 3.322 Å, I 48
d = 3.048 Å, I 100
d = 2.573 Å, I 53
d = 2.527 Å, I 29
d = 2.491 Å, I 33
d = 2.103 Å, I 60
d = 1.526 Å, I 17
d = 1.488 Å, I 59